No. 1
This entry pairs a crystal structure of LaPmPrAl with its calculated XRD peak list. Radiation: Cu Kα, 1.54184 Å. Structure: a DFT-relaxed cell (PBE, Alexandria).
Lines closer than 0.1° are merged.

Atomic structure:
```
LaPmPrAl
1.0
4.852 0.000 0.000
0.000 4.852 0.000
0.000 0.000 10.115
La Pm Pr Al
2 2 2 2
Direct
0.000 0.000 0.000
0.500 0.500 0.500
0.000 0.500 0.750
0.500 0.000 0.250
0.000 0.500 0.250
0.500 0.000 0.750
0.000 0.000 0.500
0.500 0.500 0.000
```

Peak list (10 most intense, 5 to 70 degrees two-theta, in order of falling intensity)
- 2θ = 31.51°, I 100
- 2θ = 37.06°, I 32
- 2θ = 63.34°, I 27
- 2θ = 52.25°, I 24
- 2θ = 35.50°, I 18
- 2θ = 20.30°, I 17
- 2θ = 61.26°, I 15
- 2θ = 65.78°, I 12
- 2θ = 53.41°, I 11
- 2θ = 17.54°, I 8


No. 2
This entry pairs a crystal structure of PmTl2Pd9 with its calculated XRD peak list. Radiation: Cu Kα, 1.54184 Å. Structure: a DFT-relaxed cell (PBE, Alexandria).
Lines closer than 0.1° are merged.

Atomic structure:
```
PmTl2Pd9
1.0
4.125 0.000 0.000
0.000 4.125 0.000
0.000 0.000 12.350
Pm Tl Pd
1 2 9
Direct
0.000 0.000 0.000
0.000 0.000 0.339
0.000 0.000 0.661
0.000 0.500 0.172
0.000 0.500 0.500
0.000 0.500 0.828
0.500 0.000 0.172
0.500 0.000 0.500
0.500 0.000 0.828
0.500 0.500 0.000
0.500 0.500 0.334
0.500 0.500 0.666
```

Peak list (10 most intense, 5 to 70 degrees two-theta, in order of falling intensity)
- 2θ = 37.80°, I 100
- 2θ = 43.93°, I 49
- 2θ = 63.87°, I 32
- 2θ = 21.56°, I 6
- 2θ = 30.67°, I 5
- 2θ = 49.44°, I 3
- 2θ = 7.16°, I 3
- 2θ = 54.53°, I 2
- 2θ = 68.25°, I 1
- 2θ = 42.64°, I 1


No. 3
This entry pairs a crystal structure of Pm8NiTe4P3 with its calculated XRD peak list. Radiation: Cu Kα, 1.54184 Å. Structure: a DFT-relaxed cell (PBE, Alexandria).
Lines closer than 0.1° are merged.

Atomic structure:
```
Pm8NiTe4P3
1.0
4.240 2.448 7.212
-4.240 2.448 7.212
0.000 -4.896 7.212
Pm Ni Te P
8 1 4 3
Direct
0.238 0.238 0.238
0.241 0.737 0.737
0.263 0.263 0.759
0.263 0.759 0.263
0.737 0.241 0.737
0.737 0.737 0.241
0.759 0.263 0.263
0.762 0.762 0.762
0.500 0.500 0.500
0.000 0.000 0.000
0.000 0.500 0.500
0.500 0.000 0.500
0.500 0.500 0.000
0.000 0.000 0.500
0.000 0.500 0.000
0.500 0.000 0.000
```

Peak list (10 most intense, 5 to 70 degrees two-theta, in order of falling intensity)
- 2θ = 29.40°, I 100
- 2θ = 42.65°, I 38
- 2θ = 41.47°, I 33
- 2θ = 52.64°, I 19
- 2θ = 69.98°, I 16
- 2θ = 31.96°, I 15
- 2θ = 24.61°, I 11
- 2θ = 25.62°, I 11
- 2θ = 58.00°, I 11
- 2θ = 68.29°, I 11


No. 4
This entry pairs a crystal structure of Sr3U4N9 with its calculated XRD peak list. Radiation: Cu Kα, 1.54184 Å. Structure: a DFT-relaxed cell (PBE, Alexandria).
Lines closer than 0.1° are merged.

Atomic structure:
```
Sr3U4N9
1.0
3.020 1.744 8.384
-3.020 1.744 8.384
0.000 -3.488 8.384
Sr U N
3 4 9
Direct
0.000 0.000 0.000
0.163 0.163 0.163
0.582 0.582 0.582
0.298 0.298 0.298
0.426 0.426 0.426
0.737 0.737 0.737
0.865 0.865 0.865
0.027 0.136 0.582
0.046 0.562 0.466
0.117 0.697 0.601
0.136 0.582 0.027
0.466 0.046 0.562
0.562 0.466 0.046
0.582 0.027 0.136
0.601 0.117 0.697
0.697 0.601 0.117
```

Peak list (10 most intense, 5 to 70 degrees two-theta, in order of falling intensity)
- 2θ = 29.58°, I 100
- 2θ = 30.17°, I 83
- 2θ = 18.37°, I 47
- 2θ = 42.76°, I 40
- 2θ = 52.85°, I 37
- 2θ = 44.15°, I 28
- 2θ = 52.47°, I 22
- 2θ = 62.78°, I 17
- 2θ = 69.92°, I 16
- 2θ = 61.39°, I 16


No. 5
This entry pairs a crystal structure of Tl4C3 with its calculated XRD peak list. Radiation: Cu Kα, 1.54184 Å. Structure: a DFT-relaxed cell (PBE, Alexandria).
Lines closer than 0.1° are merged.

Atomic structure:
```
Tl4C3
1.0
5.451 0.000 0.000
0.000 5.451 0.000
0.000 0.000 5.451
Tl C
4 3
Direct
0.229 0.229 0.229
0.229 0.771 0.771
0.771 0.229 0.771
0.771 0.771 0.229
0.000 0.000 0.500
0.000 0.500 0.000
0.500 0.000 0.000
```

Peak list (10 most intense, 5 to 70 degrees two-theta, in order of falling intensity)
- 2θ = 28.36°, I 100
- 2θ = 32.86°, I 46
- 2θ = 55.94°, I 40
- 2θ = 47.16°, I 37
- 2θ = 58.67°, I 11
- 2θ = 40.54°, I 8
- 2θ = 16.26°, I 7
- 2θ = 61.31°, I 6
- 2θ = 68.90°, I 5
- 2θ = 50.21°, I 4


No. 6
This entry pairs a crystal structure of Al5Zn4 with its calculated XRD peak list. Radiation: Cu Kα, 1.54184 Å. Structure: a DFT-relaxed cell (PBE, Alexandria).
Lines closer than 0.1° are merged.

Atomic structure:
```
Al5Zn4
1.0
-4.193 4.193 2.047
4.193 -4.193 2.047
4.193 4.193 -2.047
Al Zn
5 4
Direct
0.000 0.000 0.000
0.332 0.332 0.664
0.332 0.668 0.000
0.668 0.332 0.000
0.668 0.668 0.336
0.000 0.336 0.336
0.000 0.664 0.664
0.336 0.000 0.336
0.664 0.000 0.664
```

Peak list (10 most intense, 5 to 70 degrees two-theta, in order of falling intensity)
- 2θ = 39.01°, I 100
- 2θ = 45.91°, I 31
- 2θ = 14.94°, I 24
- 2θ = 65.65°, I 20
- 2θ = 44.24°, I 17
- 2θ = 32.37°, I 14
- 2θ = 66.95°, I 9
- 2θ = 50.07°, I 5
- 2θ = 24.19°, I 4
- 2θ = 30.14°, I 4


No. 7
This entry pairs a crystal structure of K2VPbBr6 with its calculated XRD peak list. Radiation: Cu Kα, 1.54184 Å. Structure: a DFT-relaxed cell (PBE, Alexandria).
Lines closer than 0.1° are merged.

Atomic structure:
```
K2VPbBr6
1.0
7.684 0.000 0.000
-3.750 6.760 0.000
-3.779 -2.178 6.462
K V Pb Br
2 1 1 6
Direct
0.000 0.000 0.000
0.015 0.483 0.548
0.507 0.241 0.774
0.507 0.741 0.274
0.039 0.059 0.589
0.426 0.033 0.441
0.491 0.936 0.934
0.524 0.546 0.614
0.588 0.448 0.107
0.976 0.424 0.959
```

Peak list (10 most intense, 5 to 70 degrees two-theta, in order of falling intensity)
- 2θ = 15.91°, I 100
- 2θ = 32.14°, I 99
- 2θ = 27.28°, I 87
- 2θ = 16.07°, I 83
- 2θ = 36.63°, I 79
- 2θ = 32.47°, I 74
- 2θ = 35.02°, I 69
- 2θ = 16.23°, I 63
- 2θ = 26.85°, I 60
- 2θ = 26.65°, I 56


No. 8
This entry pairs a crystal structure of Pm4SmDy10 with its calculated XRD peak list. Radiation: Cu Kα, 1.54184 Å. Structure: a DFT-relaxed cell (PBE, Alexandria).
Lines closer than 0.1° are merged.

Atomic structure:
```
Pm4SmDy10
1.0
-6.110 6.110 3.870
6.110 -6.110 3.870
6.110 6.110 -3.870
Pm Sm Dy
4 1 10
Direct
0.100 0.701 0.801
0.299 0.100 0.400
0.701 0.900 0.600
0.900 0.299 0.199
0.500 0.500 0.000
0.050 0.350 0.899
0.151 0.050 0.700
0.250 0.750 0.500
0.350 0.451 0.300
0.451 0.151 0.101
0.549 0.849 0.899
0.650 0.549 0.700
0.750 0.250 0.500
0.849 0.950 0.300
0.950 0.650 0.101
```

Peak list (10 most intense, 5 to 70 degrees two-theta, in order of falling intensity)
- 2θ = 32.76°, I 100
- 2θ = 58.47°, I 38
- 2θ = 19.89°, I 23
- 2θ = 47.01°, I 18
- 2θ = 23.00°, I 17
- 2θ = 38.62°, I 13
- 2θ = 68.66°, I 12
- 2θ = 52.96°, I 7
- 2θ = 51.52°, I 6
- 2θ = 40.41°, I 5


No. 9
This entry pairs a crystal structure of Rb5P3Pt3 with its calculated XRD peak list. Radiation: Cu Kα, 1.54184 Å. Structure: a DFT-relaxed cell (PBE, Alexandria).
Lines closer than 0.1° are merged.

Atomic structure:
```
Rb5P3Pt3
1.0
10.480 0.000 0.000
-5.240 9.076 0.000
0.000 0.000 4.385
Rb P Pt
5 3 3
Direct
0.000 0.729 0.000
0.271 0.271 0.000
0.333 0.667 0.000
0.667 0.333 0.000
0.729 0.000 0.000
0.000 0.364 0.000
0.364 0.000 0.000
0.636 0.636 0.000
0.000 0.363 0.500
0.363 0.000 0.500
0.637 0.637 0.500
```

Peak list (10 most intense, 5 to 70 degrees two-theta, in order of falling intensity)
- 2θ = 26.51°, I 100
- 2θ = 29.53°, I 75
- 2θ = 16.92°, I 66
- 2θ = 51.47°, I 31
- 2θ = 25.97°, I 28
- 2θ = 50.57°, I 23
- 2θ = 40.09°, I 22
- 2θ = 28.30°, I 15
- 2θ = 41.17°, I 14
- 2θ = 34.22°, I 12


No. 10
This entry pairs a crystal structure of ZnSnF with its calculated XRD peak list. Radiation: Cu Kα, 1.54184 Å. Structure: a DFT-relaxed cell (PBE, Alexandria).
Lines closer than 0.1° are merged.

Atomic structure:
```
ZnSnF
1.0
13.566 0.000 0.000
0.000 3.232 0.000
0.000 0.000 5.388
Zn Sn F
4 4 4
Direct
0.000 0.000 0.000
0.000 0.500 0.500
0.500 0.000 0.246
0.500 0.500 0.746
0.325 0.000 0.887
0.325 0.500 0.387
0.675 0.000 0.887
0.675 0.500 0.387
0.088 0.000 0.335
0.088 0.500 0.835
0.912 0.000 0.335
0.912 0.500 0.835
```

Peak list (10 most intense, 5 to 70 degrees two-theta, in order of falling intensity)
- 2θ = 38.08°, I 100
- 2θ = 6.52°, I 63
- 2θ = 19.63°, I 62
- 2θ = 32.30°, I 39
- 2θ = 34.97°, I 37
- 2θ = 38.91°, I 36
- 2θ = 52.21°, I 28
- 2θ = 33.26°, I 23
- 2θ = 39.87°, I 21
- 2θ = 33.01°, I 16


No. 11
This entry pairs a crystal structure of Sm8Dy4Y with its calculated XRD peak list. Radiation: Cu Kα, 1.54184 Å. Structure: a DFT-relaxed cell (PBE, Alexandria).
Lines closer than 0.1° are merged.

Atomic structure:
```
Sm8Dy4Y
1.0
5.542 3.200 4.518
-5.542 3.200 4.518
0.000 -6.399 4.518
Sm Dy Y
8 4 1
Direct
0.240 0.240 0.240
0.240 0.240 0.760
0.240 0.760 0.240
0.240 0.760 0.760
0.760 0.240 0.240
0.760 0.240 0.760
0.760 0.760 0.240
0.760 0.760 0.760
0.000 0.000 0.000
0.000 0.500 0.500
0.500 0.000 0.500
0.500 0.500 0.000
0.500 0.500 0.500
```

Peak list (10 most intense, 5 to 70 degrees two-theta, in order of falling intensity)
- 2θ = 32.32°, I 100
- 2θ = 57.65°, I 37
- 2θ = 19.63°, I 19
- 2θ = 46.36°, I 18
- 2θ = 67.65°, I 11
- 2θ = 38.10°, I 11
- 2θ = 22.70°, I 7
- 2θ = 50.80°, I 5
- 2θ = 61.51°, I 4
- 2θ = 25.42°, I 3


No. 12
This entry pairs a crystal structure of Sr2LiIBr4 with its calculated XRD peak list. Radiation: Cu Kα, 1.54184 Å. Structure: a DFT-relaxed cell (PBE, Alexandria).
Lines closer than 0.1° are merged.

Atomic structure:
```
Sr2LiIBr4
1.0
13.461 0.000 0.000
0.000 4.323 0.000
-4.906 0.000 9.369
Sr Li I Br
4 2 2 8
Direct
0.181 0.000 0.257
0.319 0.500 0.743
0.681 0.500 0.257
0.819 0.000 0.743
0.000 0.000 0.500
0.500 0.500 0.500
0.000 0.500 0.000
0.500 0.000 0.000
0.115 0.500 0.425
0.165 0.000 0.757
0.335 0.500 0.243
0.385 0.000 0.575
0.615 0.000 0.425
0.665 0.500 0.757
0.835 0.000 0.243
0.885 0.500 0.575
```

Peak list (10 most intense, 5 to 70 degrees two-theta, in order of falling intensity)
- 2θ = 29.98°, I 100
- 2θ = 31.34°, I 96
- 2θ = 29.20°, I 83
- 2θ = 30.55°, I 80
- 2θ = 28.69°, I 75
- 2θ = 26.67°, I 73
- 2θ = 13.40°, I 60
- 2θ = 41.80°, I 57
- 2θ = 44.01°, I 48
- 2θ = 40.27°, I 47